# UN4F8
Theoretical PXRD pattern, CuKα. Input: a cell relaxed with PBE.
Intensities are scaled so that the largest is 100.

Main lines, by angle (2θ = 10–90°):
2θ/deg, d_spacing, Rel. int., index
13.3, 6.673, 46, 2 0 0
13.9, 6.366, 100, 1 1 0
14.4, 6.133, 49, 0 0 2
15.3, 5.791, 49, 2 0 -2
18.1, 4.900, 51, 1 1 -2
21.9, 4.053, 48, 1 1 2
23.1, 3.853, 36, 3 1 -2
23.5, 3.790, 33, 3 1 0
26.8, 3.332, 26, 4 0 0
36.7, 2.451, 20, 2 2 -4

Structural model:
```
data_UN4F8
_chemical_formula_sum 'U4 N16 F32'
_cell_length_a 14.5154
_cell_length_b 7.2439
_cell_length_c 13.3409
_cell_angle_alpha 90.00
_cell_angle_beta 113.16
_cell_angle_gamma 90.00
_symmetry_space_group_name_H-M 'C 1 2/c 1'
_symmetry_Int_Tables_number 15
_symmetry_space_group_name_Hall '-C 2yc'
loop_
_atom_site_label
_atom_site_fract_x
_atom_site_fract_y
_atom_site_fract_z
_atom_site_occupancy
U1 0.0000 0.0174 0.2500 1
N1 0.1199 0.4259 0.5853 1
N2 0.2352 0.4338 0.8877 1
F1 0.0193 0.2148 0.3643 1
F2 0.0262 0.1785 0.8662 1
F3 0.1483 0.0126 0.2805 1
F4 0.2175 0.3864 0.3946 1
```

# Y3NF10
Theoretical PXRD pattern, CuKα. Input: a cell relaxed with PBE.
Intensities are scaled so that the largest is 100.

Main lines, by angle (2θ = 10–90°):
2θ/deg, d_spacing, Rel. int., index
15.1, 5.865, 39, 2 0 0
21.4, 4.147, 38, 2 2 0
26.3, 3.386, 100, 2 2 2
30.5, 2.933, 31, 4 0 0
39.9, 2.258, 17, 3 3 3
43.6, 2.074, 54, 4 4 0
46.4, 1.955, 18, 6 0 0
51.7, 1.768, 60, 6 2 2
69.9, 1.346, 17, 6 6 2
80.2, 1.197, 18, 8 4 4

Structural model:
```
data_Y3NF10
_chemical_formula_sum 'Y24 N8 F80'
_cell_length_a 11.7305
_cell_length_b 11.7305
_cell_length_c 11.7305
_cell_angle_alpha 90.00
_cell_angle_beta 90.00
_cell_angle_gamma 90.00
_symmetry_space_group_name_H-M 'F m -3 m'
_symmetry_Int_Tables_number 225
_symmetry_space_group_name_Hall '-F 4 2 3'
loop_
_atom_site_label
_atom_site_fract_x
_atom_site_fract_y
_atom_site_fract_z
_atom_site_occupancy
Y1 0.0000 0.0000 0.2385 1
N1 0.2500 0.2500 0.2500 1
F1 0.0000 0.1626 0.3374 1
F2 0.1104 0.1104 0.1104 1
```

# ZnNF3
Theoretical PXRD pattern, CuKα. Input: a cell relaxed with PBE.
Intensities are scaled so that the largest is 100.

Main lines, by angle (2θ = 10–90°):
2θ/deg, d_spacing, Rel. int., index
22.2, 3.996, 100, 1 0 0
31.7, 2.826, 59, 1 1 0
45.4, 1.998, 48, 2 0 0
51.1, 1.787, 42, 2 1 0
56.4, 1.631, 21, 2 1 1
66.1, 1.413, 26, 2 2 0
70.7, 1.332, 18, 3 0 0
75.2, 1.264, 9, 3 1 0
83.9, 1.154, 8, 2 2 2
88.1, 1.108, 8, 3 2 0

Structural model:
```
data_ZnNF3
_chemical_formula_sum 'Zn1 N1 F3'
_cell_length_a 3.9961
_cell_length_b 3.9961
_cell_length_c 3.9961
_cell_angle_alpha 90.00
_cell_angle_beta 90.00
_cell_angle_gamma 90.00
_symmetry_space_group_name_H-M 'P m -3 m'
_symmetry_Int_Tables_number 221
_symmetry_space_group_name_Hall '-P 4 2 3'
loop_
_atom_site_label
_atom_site_fract_x
_atom_site_fract_y
_atom_site_fract_z
_atom_site_occupancy
Zn1 0.0000 0.0000 0.0000 1
N1 0.5000 0.5000 0.5000 1
F1 0.0000 0.0000 0.5000 1
```

# NaF
Theoretical PXRD pattern, CuKα. Input: a cell relaxed with PBE.
Intensities are scaled so that the largest is 100.

Main lines, by angle (2θ = 10–90°):
2θ/deg, d_spacing, Rel. int., index
33.0, 2.711, 2, 1 1 1
38.3, 2.348, 100, 2 0 0
55.3, 1.660, 58, 2 2 0
66.0, 1.416, 2, 3 1 1
69.3, 1.356, 17, 2 2 2
82.1, 1.174, 7, 4 0 0

Structural model:
```
data_NaF
_chemical_formula_sum 'Na4 F4'
_cell_length_a 4.6962
_cell_length_b 4.6962
_cell_length_c 4.6962
_cell_angle_alpha 90.00
_cell_angle_beta 90.00
_cell_angle_gamma 90.00
_symmetry_space_group_name_H-M 'F m -3 m'
_symmetry_Int_Tables_number 225
_symmetry_space_group_name_Hall '-F 4 2 3'
loop_
_atom_site_label
_atom_site_fract_x
_atom_site_fract_y
_atom_site_fract_z
_atom_site_occupancy
Na1 0.0000 0.0000 0.0000 1
F1 0.0000 0.0000 0.5000 1
```